Structure and calculated powder diffractogram of LiB8C8 (DFT lattice parameters and positions (PBE); Cu Kα, 1.54184 Å).
Kinematic intensities with the Lorentz-polarization factor, no thermal factor.

Atomic structure:
a = 4.7995 Å, b = 5.5282 Å, c = 5.2624 Å
α = 90.00°, β = 96.41°, γ = 90.00°
Fractional positions:
Li1 0.0000 0.0000 0.0000
B1 0.2272 0.2503 0.3350
B2 0.2272 0.7497 0.3350
B3 0.2741 0.5000 0.6629
B4 0.2841 0.0000 0.6450
B5 0.7159 0.0000 0.3550
B6 0.7259 0.5000 0.3371
B7 0.7728 0.2503 0.6650
B8 0.7728 0.7497 0.6650
C1 0.1056 0.2503 0.6516
C2 0.1056 0.7497 0.6516
C3 0.3831 0.0000 0.3177
C4 0.3985 0.5000 0.3420
C5 0.6015 0.5000 0.6580
C6 0.6169 0.0000 0.6823
C7 0.8944 0.2503 0.3484
C8 0.8944 0.7497 0.3484

Largest 6 diffraction maxima, most intense first, 2θ from 15° to 90°:
17.0 deg, I = 100, (0 0 1)
37.6 deg, I = 14, (1 2 0)
52.5 deg, I = 9, (0 0 3)
34.3 deg, I = 7, (0 0 2)
42.4 deg, I = 5, (1 2 1)
43.4 deg, I = 5, (2 0 1)